Diffraction record for Pr3Si6N11. The powder X-ray diffraction pattern is simulated, not measured: it uses a DFT-relaxed cell (GGA-PBE, Alexandria) and λ = 1.5418 Å (Cu Kα).

Structural model:
```
data_Pr3Si6N11
_chemical_formula_sum 'Pr6 Si12 N22'
_symmetry_space_group_name_H-M 'P 4 b m'
_symmetry_Int_Tables_number 100
_cell_length_a 10.178
_cell_length_b 10.178
_cell_length_c 4.899
_cell_angle_alpha 90.00
_cell_angle_beta 90.00
_cell_angle_gamma 90.00
loop_
_symmetry_equiv_pos_as_xyz
'x,y,z'
'-y,x,z'
'-x,-y,z'
'y,-x,z'
'-x+1/2,y+1/2,z'
'y+1/2,x+1/2,z'
'x+1/2,-y+1/2,z'
'-y+1/2,-x+1/2,z'
loop_
_atom_site_label
_atom_site_fract_x
_atom_site_fract_y
_atom_site_fract_z
_atom_site_occupancy
Pr1 0.000 0.000 0.000 1
Pr2 0.182 0.318 0.014 1
Si1 0.079 0.791 0.543 1
Si2 0.117 0.617 0.053 1
N1 0.000 0.500 0.079 1
N2 0.076 0.770 0.190 1
N3 0.079 0.179 0.653 1
N4 0.154 0.654 0.708 1
```

Top 8 peaks for 10 to 80 degrees two-theta, low angle first:
- 2θ = 18.1°, intensity 77, (0 0 1)
- 2θ = 26.7°, intensity 62, (2 1 1)
- 2θ = 27.7°, intensity 40, (3 1 0)
- 2θ = 30.8°, intensity 71, (2 2 1)
- 2θ = 33.3°, intensity 100, (3 1 1)
- 2θ = 36.4°, intensity 43, (4 1 0)
- 2θ = 36.7°, intensity 47, (0 0 2)
- 2θ = 40.9°, intensity 35, (4 1 1)

---

Diffraction record for PrTh2SiN5. The powder X-ray diffraction pattern is simulated, not measured: it uses a DFT-relaxed cell (GGA-PBE, Alexandria) and λ = 1.5418 Å (Cu Kα).

Structural model:
```
data_PrTh2SiN5
_chemical_formula_sum 'Pr2 Th4 Si2 N10'
_symmetry_space_group_name_H-M 'P 4/m b m'
_symmetry_Int_Tables_number 127
_symmetry_space_group_name_Hall '-P 4 2ab'
_cell_length_a 6.720
_cell_length_b 6.720
_cell_length_c 5.794
_cell_angle_alpha 90.00
_cell_angle_beta 90.00
_cell_angle_gamma 90.00
loop_
_atom_site_label
_atom_site_fract_x
_atom_site_fract_y
_atom_site_fract_z
_atom_site_occupancy
Pr1 0.000 0.000 0.000 1
Th1 0.179 0.321 0.500 1
Si1 0.000 0.500 0.000 1
N1 0.000 0.000 0.500 1
N2 0.136 0.636 0.220 1
```

Top 8 peaks for 10 to 80 degrees two-theta, low angle first:
- 2θ = 15.3°, intensity 51, (0 0 1)
- 2θ = 24.2°, intensity 30, (1 1 1)
- 2θ = 29.7°, intensity 42, (2 1 0)
- 2θ = 30.8°, intensity 100, (2 0 1)
- 2θ = 30.9°, intensity 44, (0 0 2)
- 2θ = 33.6°, intensity 87, (2 1 1)
- 2θ = 43.4°, intensity 51, (2 1 2)
- 2θ = 58.9°, intensity 28, (4 1 1)

---

Diffraction record for PrSm8N6. The powder X-ray diffraction pattern is simulated, not measured: it uses a DFT-relaxed cell (GGA-PBE, Alexandria) and λ = 1.5418 Å (Cu Kα).

Structural model:
```
data_PrSm8N6
_chemical_formula_sum 'Pr3 Sm24 N18'
_symmetry_space_group_name_H-M 'R -3'
_symmetry_Int_Tables_number 148
_symmetry_space_group_name_Hall '-R 3'
_cell_length_a 6.2641
_cell_length_b 6.2641
_cell_length_c 27.4093
_cell_angle_alpha 90.00
_cell_angle_beta 90.00
_cell_angle_gamma 120.00
loop_
_atom_site_label
_atom_site_fract_x
_atom_site_fract_y
_atom_site_fract_z
_atom_site_occupancy
Pr1 0.0000 0.0000 0.0000 1
Sm1 0.0000 0.0000 0.3333 1
Sm2 0.0000 0.3330 0.1027 1
N1 0.0000 0.3381 0.9425 1
```

Top 8 peaks for 10 to 80 degrees two-theta, low angle first:
- 2θ = 29.3°, intensity 31, (0 0 9)
- 2θ = 30.2°, intensity 100, (2 -1 3)
- 2θ = 34.7°, intensity 86, (1 1 6)
- 2θ = 49.4°, intensity 28, (2 -1 12)
- 2θ = 50.5°, intensity 31, (3 0 0)
- 2θ = 58.5°, intensity 15, (1 1 15)
- 2θ = 59.4°, intensity 26, (3 0 9)
- 2θ = 62.7°, intensity 15, (4 -2 6)

---

Diffraction record for Pr3SmN3. The powder X-ray diffraction pattern is simulated, not measured: it uses a DFT-relaxed cell (GGA-PBE, Alexandria) and λ = 1.5418 Å (Cu Kα).

Structural model:
```
data_Pr3SmN3
_chemical_formula_sum 'Pr6 Sm2 N6'
_symmetry_space_group_name_H-M 'P 63/m m c'
_symmetry_Int_Tables_number 194
_symmetry_space_group_name_Hall '-P 6c 2c'
_cell_length_a 8.3327
_cell_length_b 8.3327
_cell_length_c 5.3531
_cell_angle_alpha 90.00
_cell_angle_beta 90.00
_cell_angle_gamma 120.00
loop_
_atom_site_label
_atom_site_fract_x
_atom_site_fract_y
_atom_site_fract_z
_atom_site_occupancy
Pr1 0.1652 0.3303 0.2500 1
Sm1 0.3333 0.6667 0.7500 1
N1 0.1677 0.3353 0.7500 1
```

Top 8 peaks for 10 to 80 degrees two-theta, low angle first:
- 2θ = 24.7°, intensity 37, (2 0 0)
- 2θ = 29.9°, intensity 100, (2 0 1)
- 2θ = 33.5°, intensity 22, (0 0 2)
- 2θ = 42.0°, intensity 17, (2 0 2)
- 2θ = 43.4°, intensity 32, (2 2 0)
- 2θ = 53.6°, intensity 20, (4 0 1)
- 2θ = 55.9°, intensity 30, (2 2 2)
- 2θ = 71.4°, intensity 17, (4 2 1)